(1)
Computed XRD peak list
Compound: Al4Ni
Radiation: λ = 1.5418 Å (Cu Kα)
Structure: DFT lattice parameters and positions (PBE)
Peak positions follow from Bragg's law for the DFT cell and can differ from measured ones.

Largest 6 diffraction maxima, by angle, 10° ≤ 2θ ≤ 90°:
2theta  Rel. int.
13.51  1000
34.04  376
40.10  512
40.58  759
43.77  931
44.90  502

Cell: 9.2722 9.2722 5.2673 Å, 90.00 90.00 90.00°
Sites, in units of the cell vectors:
Al (0.0520, 0.3554, 0.0000)
Al (0.0747, 0.2659, 0.5000)
Al (0.1446, 0.5520, 0.5000)
Al (0.1563, 0.8437, 0.2410)
Al (0.1563, 0.8437, 0.7590)
Al (0.2341, 0.5747, 0.0000)
Al (0.2659, 0.0747, 0.5000)
Al (0.3437, 0.3437, 0.2590)
Al (0.3437, 0.3437, 0.7410)
Al (0.3554, 0.0520, 0.0000)
Al (0.4253, 0.7659, 0.0000)
Al (0.4480, 0.8554, 0.5000)
Al (0.5520, 0.1446, 0.5000)
Al (0.5747, 0.2341, 0.0000)
Al (0.6446, 0.9480, 0.0000)
Al (0.6563, 0.6563, 0.2590)
Al (0.6563, 0.6563, 0.7410)
Al (0.7341, 0.9253, 0.5000)
Al (0.7659, 0.4253, 0.0000)
Al (0.8437, 0.1563, 0.2410)
Al (0.8437, 0.1563, 0.7590)
Al (0.8554, 0.4480, 0.5000)
Al (0.9253, 0.7341, 0.5000)
Al (0.9480, 0.6446, 0.0000)
Ni (0.0000, 0.0000, 0.5000)
Ni (0.0938, 0.0938, 0.0000)
Ni (0.4062, 0.5938, 0.5000)
Ni (0.5000, 0.5000, 0.0000)
Ni (0.5938, 0.4062, 0.5000)
Ni (0.9062, 0.9062, 0.0000)

***

(2)
Computed XRD peak list
Compound: AlNi3
Radiation: λ = 1.5418 Å (Cu Kα)
Structure: DFT lattice parameters and positions (PBE)
Peak positions follow from Bragg's law for the DFT cell and can differ from measured ones.

Largest 6 diffraction maxima, by angle, 10° ≤ 2θ ≤ 90°:
2theta  Rel. int.
27.84  106
44.14  1000
50.27  334
53.70  135
73.84  97
76.64  174

Cell: 3.6301 3.6301 6.8270 Å, 90.00 90.00 90.00°
Sites, in units of the cell vectors:
Al (0.0000, 0.0000, 0.0000)
Al (0.5000, 0.5000, 0.5000)
Ni (0.0000, 0.0000, 0.5000)
Ni (0.0000, 0.5000, 0.2500)
Ni (0.0000, 0.5000, 0.7500)
Ni (0.5000, 0.0000, 0.2500)
Ni (0.5000, 0.0000, 0.7500)
Ni (0.5000, 0.5000, 0.0000)

***

(3)
Computed XRD peak list
Compound: AlNi
Radiation: λ = 1.5418 Å (Cu Kα)
Structure: DFT lattice parameters and positions (PBE)
Peak positions follow from Bragg's law for the DFT cell and can differ from measured ones.

Largest 6 diffraction maxima, by angle, 10° ≤ 2θ ≤ 90°:
2theta  Rel. int.
31.17  234
44.34  1000
44.66  489
65.01  150
81.40  152
82.09  298

Cell: 2.8693 2.8693 2.9094 Å, 90.00 90.00 90.00°
Sites, in units of the cell vectors:
Al (0.0000, 0.0000, 0.0000)
Ni (0.5000, 0.5000, 0.5000)

***

(4)
Computed XRD peak list
Compound: Al12Ni17
Radiation: λ = 1.5418 Å (Cu Kα)
Structure: DFT lattice parameters and positions (PBE)
Peak positions follow from Bragg's law for the DFT cell and can differ from measured ones.

Largest 6 diffraction maxima, by angle, 10° ≤ 2θ ≤ 90°:
2theta  Rel. int.
24.45  164
40.46  213
43.03  1000
47.84  137
52.30  151
78.87  158

Cell: 7.7237 7.7237 7.7237 Å, 109.47 109.47 109.47°
Sites, in units of the cell vectors:
Al (0.0000, 0.2044, 0.4017)
Al (0.0000, 0.4017, 0.2044)
Al (0.1973, 0.7956, 0.7956)
Al (0.2044, 0.0000, 0.4017)
Al (0.2044, 0.4017, 0.0000)
Al (0.4017, 0.0000, 0.2044)
Al (0.4017, 0.2044, 0.0000)
Al (0.5983, 0.5983, 0.8027)
Al (0.5983, 0.8027, 0.5983)
Al (0.7956, 0.1973, 0.7956)
Al (0.7956, 0.7956, 0.1973)
Al (0.8027, 0.5983, 0.5983)
Ni (0.0000, 0.0000, 0.0000)
Ni (0.0000, 0.0000, 0.6732)
Ni (0.0000, 0.4156, 0.6950)
Ni (0.0000, 0.6732, 0.0000)
Ni (0.0000, 0.6950, 0.4156)
Ni (0.2794, 0.5844, 0.5844)
Ni (0.3050, 0.3050, 0.7206)
Ni (0.3050, 0.7206, 0.3050)
Ni (0.3268, 0.3268, 0.3268)
Ni (0.4156, 0.0000, 0.6950)
Ni (0.4156, 0.6950, 0.0000)
Ni (0.5844, 0.2794, 0.5844)
Ni (0.5844, 0.5844, 0.2794)
Ni (0.6732, 0.0000, 0.0000)
Ni (0.6950, 0.0000, 0.4156)
Ni (0.6950, 0.4156, 0.0000)
Ni (0.7206, 0.3050, 0.3050)

***

(5)
Computed XRD peak list
Compound: Al5Ni8
Radiation: λ = 1.5418 Å (Cu Kα)
Structure: DFT lattice parameters and positions (PBE)
Peak positions follow from Bragg's law for the DFT cell and can differ from measured ones.

Largest 6 diffraction maxima, by angle, 10° ≤ 2θ ≤ 90°:
2theta  Rel. int.
10.97  444
22.04  558
43.76  913
43.93  1000
44.96  496
47.66  654

Cell: 8.5263 8.5263 8.5263 Å, 32.67 32.67 32.67°
Sites, in units of the cell vectors:
Al (0.0000, 0.0000, 0.0000)
Al (0.1654, 0.1654, 0.1654)
Al (0.4427, 0.4427, 0.4427)
Al (0.5573, 0.5573, 0.5573)
Al (0.8346, 0.8346, 0.8346)
Ni (0.0883, 0.0883, 0.5802)
Ni (0.0883, 0.5802, 0.0883)
Ni (0.3437, 0.3437, 0.3437)
Ni (0.4198, 0.9117, 0.9117)
Ni (0.5802, 0.0883, 0.0883)
Ni (0.6563, 0.6563, 0.6563)
Ni (0.9117, 0.4198, 0.9117)
Ni (0.9117, 0.9117, 0.4198)

***

(6)
Computed XRD peak list
Compound: Al11Ni4
Radiation: λ = 1.5418 Å (Cu Kα)
Structure: DFT lattice parameters and positions (PBE)
Peak positions follow from Bragg's law for the DFT cell and can differ from measured ones.

Largest 6 diffraction maxima, by angle, 10° ≤ 2θ ≤ 90°:
2theta  Rel. int.
21.44  581
40.12  884
40.73  319
41.34  451
41.93  1000
44.11  342

Cell: 9.2662 9.2662 5.0449 Å, 90.00 90.00 90.00°
Sites, in units of the cell vectors:
Al (0.0000, 0.0000, 0.0000)
Al (0.0482, 0.3649, 0.5000)
Al (0.0750, 0.2681, 0.0000)
Al (0.0955, 0.0955, 0.5000)
Al (0.1351, 0.5482, 0.0000)
Al (0.2319, 0.5750, 0.5000)
Al (0.2681, 0.0750, 0.0000)
Al (0.3649, 0.0482, 0.5000)
Al (0.4045, 0.5955, 0.0000)
Al (0.4250, 0.7681, 0.5000)
Al (0.4518, 0.8649, 0.0000)
Al (0.5000, 0.5000, 0.5000)
Al (0.5482, 0.1351, 0.0000)
Al (0.5750, 0.2319, 0.5000)
Al (0.5955, 0.4045, 0.0000)
Al (0.6351, 0.9518, 0.5000)
Al (0.7319, 0.9250, 0.0000)
Al (0.7681, 0.4250, 0.5000)
Al (0.8649, 0.4518, 0.0000)
Al (0.9045, 0.9045, 0.5000)
Al (0.9250, 0.7319, 0.0000)
Al (0.9518, 0.6351, 0.5000)
Ni (0.1702, 0.8298, 0.2518)
Ni (0.1702, 0.8298, 0.7482)
Ni (0.3298, 0.3298, 0.2482)
Ni (0.3298, 0.3298, 0.7518)
Ni (0.6702, 0.6702, 0.2482)
Ni (0.6702, 0.6702, 0.7518)
Ni (0.8298, 0.1702, 0.2518)
Ni (0.8298, 0.1702, 0.7482)

***

(7)
Computed XRD peak list
Compound: AlNiPPd4
Radiation: λ = 1.5418 Å (Cu Kα)
Structure: DFT lattice parameters and positions (PBE)
Peak positions follow from Bragg's law for the DFT cell and can differ from measured ones.

Largest 6 diffraction maxima, by angle, 10° ≤ 2θ ≤ 90°:
2theta  Rel. int.
27.09  248
32.41  373
42.73  1000
46.49  430
54.64  141
83.60  273

Cell: 3.9064 3.9064 6.5838 Å, 90.00 90.00 90.00°
Sites, in units of the cell vectors:
Al (0.0000, 0.0000, 0.0000)
Ni (0.5000, 0.5000, 0.0000)
P (0.5000, 0.5000, 0.5000)
Pd (0.0000, 0.5000, 0.2781)
Pd (0.0000, 0.5000, 0.7219)
Pd (0.5000, 0.0000, 0.2781)
Pd (0.5000, 0.0000, 0.7219)

***

(8)
Computed XRD peak list
Compound: AlSi6NiPb
Radiation: λ = 1.5418 Å (Cu Kα)
Structure: DFT lattice parameters and positions (PBE)
Peak positions follow from Bragg's law for the DFT cell and can differ from measured ones.

Largest 6 diffraction maxima, by angle, 10° ≤ 2θ ≤ 90°:
2theta  Rel. int.
18.02  1000
29.64  906
34.91  715
36.51  597
42.41  564
46.43  396

Cell: 6.0278 6.0278 6.0278 Å, 60.00 60.00 60.00°
Sites, in units of the cell vectors:
Al (0.0000, 0.0000, 0.0000)
Si (0.5316, 0.5316, 0.9684)
Si (0.5316, 0.9684, 0.5316)
Si (0.5316, 0.9684, 0.9684)
Si (0.9684, 0.5316, 0.5316)
Si (0.9684, 0.5316, 0.9684)
Si (0.9684, 0.9684, 0.5316)
Ni (0.2500, 0.2500, 0.2500)
Pb (0.5000, 0.5000, 0.5000)

***

(9)
Computed XRD peak list
Compound: Zr3Al3NiPdPt
Radiation: λ = 1.5418 Å (Cu Kα)
Structure: DFT lattice parameters and positions (PBE)
Peak positions follow from Bragg's law for the DFT cell and can differ from measured ones.

Largest 6 diffraction maxima, by angle, 10° ≤ 2θ ≤ 90°:
2theta  Rel. int.
14.37  429
25.03  494
35.64  1000
38.62  942
44.09  470
46.57  331

Cell: 7.1150 7.1150 3.5679 Å, 90.00 90.00 120.00°
Sites, in units of the cell vectors:
Zr (0.0641, 0.7296, 0.0000)
Zr (0.2704, 0.3344, 0.0000)
Zr (0.6656, 0.9359, 0.0000)
Al (0.4209, 0.0890, 0.5000)
Al (0.6681, 0.5791, 0.5000)
Al (0.9110, 0.3319, 0.5000)
Ni (0.6667, 0.3333, 0.0000)
Pd (0.0000, 0.0000, 0.5000)
Pt (0.3333, 0.6667, 0.5000)

***

(10)
Computed XRD peak list
Compound: PrAl3Ni2
Radiation: λ = 1.5418 Å (Cu Kα)
Structure: DFT lattice parameters and positions (PBE)
Peak positions follow from Bragg's law for the DFT cell and can differ from measured ones.

Largest 6 diffraction maxima, by angle, 10° ≤ 2θ ≤ 90°:
2theta  Rel. int.
23.10  375
29.30  354
33.63  639
39.03  539
40.49  1000
44.66  270

Cell: 14.1033 14.1033 4.0578 Å, 90.00 90.00 120.00°
Sites, in units of the cell vectors:
Pr (0.0000, 0.0000, 0.0000)
Pr (0.1437, 0.7126, 0.5000)
Pr (0.2874, 0.4312, 0.5000)
Pr (0.4312, 0.1437, 0.5000)
Pr (0.5688, 0.8563, 0.5000)
Pr (0.7126, 0.5688, 0.5000)
Pr (0.8563, 0.2874, 0.5000)
Al (0.0000, 0.5000, 0.0000)
Al (0.0424, 0.2119, 0.5000)
Al (0.0701, 0.3504, 0.0000)
Al (0.1696, 0.9576, 0.5000)
Al (0.2119, 0.1696, 0.5000)
Al (0.2130, 0.5704, 0.0000)
Al (0.2803, 0.9299, 0.0000)
Al (0.3504, 0.2803, 0.0000)
Al (0.3574, 0.7870, 0.0000)
Al (0.4296, 0.6426, 0.0000)
Al (0.5000, 0.0000, 0.0000)
Al (0.5000, 0.5000, 0.0000)
Al (0.5704, 0.3574, 0.0000)
Al (0.6426, 0.2130, 0.0000)
Al (0.6496, 0.7197, 0.0000)
Al (0.7197, 0.0701, 0.0000)
Al (0.7870, 0.4296, 0.0000)
Al (0.7881, 0.8304, 0.5000)
Al (0.8304, 0.0424, 0.5000)
Al (0.9299, 0.6496, 0.0000)
Al (0.9576, 0.7881, 0.5000)
Ni (0.0769, 0.8460, 0.0000)
Ni (0.0951, 0.4752, 0.5000)
Ni (0.1540, 0.2309, 0.0000)
Ni (0.2309, 0.0769, 0.0000)
Ni (0.3333, 0.6667, 0.5000)
Ni (0.3801, 0.9049, 0.5000)
Ni (0.4752, 0.3801, 0.5000)
Ni (0.5248, 0.6199, 0.5000)
Ni (0.6199, 0.0951, 0.5000)
Ni (0.6667, 0.3333, 0.5000)
Ni (0.7691, 0.9231, 0.0000)
Ni (0.8460, 0.7691, 0.0000)
Ni (0.9049, 0.5248, 0.5000)
Ni (0.9231, 0.1540, 0.0000)

***

(11)
Computed XRD peak list
Compound: PrAl5NiPt
Radiation: λ = 1.5418 Å (Cu Kα)
Structure: DFT lattice parameters and positions (PBE)
Peak positions follow from Bragg's law for the DFT cell and can differ from measured ones.

Largest 6 diffraction maxima, by angle, 10° ≤ 2θ ≤ 90°:
2theta  Rel. int.
15.27  392
24.72  429
31.22  1000
34.54  432
44.74  538
47.78  400

Cell: 4.0557 7.2031 9.7868 Å, 90.00 90.00 90.00°
Sites, in units of the cell vectors:
Pr (0.0000, 0.0000, 0.0000)
Pr (0.5000, 0.5000, 0.5000)
Al (0.0000, 0.1844, 0.6616)
Al (0.0000, 0.1963, 0.3516)
Al (0.0000, 0.5000, 0.0144)
Al (0.0000, 0.8037, 0.3516)
Al (0.0000, 0.8156, 0.6616)
Al (0.5000, 0.0000, 0.5144)
Al (0.5000, 0.3037, 0.8516)
Al (0.5000, 0.3156, 0.1616)
Al (0.5000, 0.6844, 0.1616)
Al (0.5000, 0.6963, 0.8516)
Ni (0.0000, 0.5000, 0.2473)
Ni (0.5000, 0.0000, 0.7473)
Pt (0.0000, 0.5000, 0.7672)
Pt (0.5000, 0.0000, 0.2672)

***

(12)
Computed XRD peak list
Compound: SrAl5NiPt
Radiation: λ = 1.5418 Å (Cu Kα)
Structure: DFT lattice parameters and positions (PBE)
Peak positions follow from Bragg's law for the DFT cell and can differ from measured ones.

Largest 6 diffraction maxima, by angle, 10° ≤ 2θ ≤ 90°:
2theta  Rel. int.
15.09  422
17.80  363
24.51  431
30.96  1000
34.33  429
47.37  508

Cell: 4.0614 7.2629 9.9649 Å, 90.00 90.00 90.00°
Sites, in units of the cell vectors:
Sr (0.0000, 0.0000, 0.0000)
Sr (0.5000, 0.5000, 0.5000)
Al (0.0000, 0.1835, 0.3392)
Al (0.0000, 0.1975, 0.6561)
Al (0.0000, 0.5000, 0.9901)
Al (0.0000, 0.8025, 0.6561)
Al (0.0000, 0.8165, 0.3392)
Al (0.5000, 0.0000, 0.4901)
Al (0.5000, 0.3025, 0.1561)
Al (0.5000, 0.3165, 0.8392)
Al (0.5000, 0.6835, 0.8392)
Al (0.5000, 0.6975, 0.1561)
Ni (0.0000, 0.5000, 0.7615)
Ni (0.5000, 0.0000, 0.2615)
Pt (0.0000, 0.5000, 0.2329)
Pt (0.5000, 0.0000, 0.7329)